No. 1
Ta4W9: calculated powder diffractogram (Cu Kα, 1.54184 Å), based on DFT lattice parameters and positions (PBE).

a = 5.2539 Å, b = 5.2539 Å, c = 28.3604 Å
α = 90.00°, β = 90.00°, γ = 120.00°
Space group R-3m (No. 166, hexagonal axes)
Unique sites:
Ta1 0.0000 0.0000 0.0479 (multiplicity 6)
Ta2 0.0000 0.0000 0.3324 (multiplicity 6)
W1 0.0000 0.0000 0.1503 (multiplicity 6)
W2 0.0000 0.0000 0.5000 (multiplicity 3)
W3 0.0035 0.5017 0.9095 (multiplicity 18)

The 10 most intense peaks (2θ from 10° to 90°), by angle:
- d 2.627, I = 48, hkl 1 1 0
- d 2.407, I = 48, hkl 1 0 10
- d 2.363, I = 24, hkl 0 0 12
- d 2.296, I = 100, hkl 1 1 6
- d 2.268, I = 49, hkl 0 2 1
- d 2.244, I = 81, hkl 0 1 11
- d 2.166, I = 26, hkl 0 2 4
- d 2.111, I = 62, hkl 2 0 5
- d 1.431, I = 32, hkl 1 2 11
- d 1.313, I = 39, hkl 2 2 0

---

No. 2
Zr3Sc2Al3: calculated powder diffractogram (Cu Kα, 1.54184 Å), based on DFT lattice parameters and positions (PBE).

a = 6.1893 Å, b = 6.1893 Å, c = 4.9984 Å
α = 90.00°, β = 90.00°, γ = 120.00°
Space group P-6m2 (No. 187)
Unique sites:
Zr1 0.0163 0.5081 0.0000 (multiplicity 3)
Sc1 0.0000 0.0000 0.0000 (multiplicity 1)
Sc2 0.6667 0.3333 0.5000 (multiplicity 1)
Al1 0.1738 0.3475 0.5000 (multiplicity 3)

The 10 most intense peaks (2θ from 10° to 90°), by angle:
- d 5.360, I = 10, hkl 1 0 0
- d 4.998, I = 29, hkl 0 0 1
- d 2.680, I = 36, hkl 2 0 0
- d 2.499, I = 25, hkl 0 0 2
- d 2.362, I = 100, hkl 2 0 1
- d 1.828, I = 22, hkl 2 0 2
- d 1.547, I = 15, hkl 2 2 0
- d 1.415, I = 19, hkl 2 0 3
- d 1.316, I = 17, hkl 2 2 2
- d 1.294, I = 13, hkl 4 0 1

---

No. 3
CsRbHg2Bi2: calculated powder diffractogram (Cu Kα, 1.54184 Å), based on DFT lattice parameters and positions (PBE).

a = 5.168 Å, b = 5.168 Å, c = 8.788 Å
α = 90.00°, β = 90.00°, γ = 90.00°
Space group P4mm (No. 99)
Unique sites:
Cs1 0.000 0.000 0.000 (multiplicity 1)
Rb1 0.500 0.500 0.343 (multiplicity 1)
Hg1 0.000 0.500 0.663 (multiplicity 2)
Bi1 0.000 0.000 0.465 (multiplicity 1)
Bi2 0.500 0.500 0.862 (multiplicity 1)

The 10 most intense peaks (2θ from 10° to 90°), by angle:
- d 8.788, I = 87, hkl 0 0 1
- d 3.374, I = 32, hkl 1 1 1
- d 3.347, I = 42, hkl 1 0 2
- d 2.810, I = 100, hkl 1 1 2
- d 2.584, I = 59, hkl 2 0 0
- d 2.286, I = 23, hkl 1 1 3
- d 2.045, I = 21, hkl 2 1 2
- d 2.022, I = 19, hkl 1 0 4
- d 1.827, I = 21, hkl 2 2 0
- d 1.532, I = 33, hkl 3 1 2